Theoretical X-ray diffraction stick pattern
Compound: TaTiMoW
Radiation: Cu Kα (weighted mean of Kα1 and Kα2)
Structure: the GGA-PBE geometry in Alexandria
Kinematic intensities with the Lorentz-polarization factor, no thermal factor.

Most intense lines, 2θ = 10–80°, by angle:
2θ/deg	I/Imax	(hkl)
19.55	21.8	0 0 1
34.25	11.3	1 1 0
39.73	100.0	1 1 1
39.87	19.8	0 2 0
53.40	6.5	1 1 2
57.39	6.8	2 0 0
57.52	13.4	0 2 2
72.04	20.6	2 0 2
72.16	6.8	2 2 0
72.31	13.6	1 3 1

Cell and atoms:
```
4
Lattice="3.211 0.000 0.000 0.000 4.522 0.000 0.000 0.000 4.543" Properties=species:S:1:pos:R:3 pbc="T T T"
Ta 0.000 0.000 0.000
Ti 0.000 2.261 2.271
Mo 1.606 0.000 2.271
W 1.606 2.261 0.000
```